Computed XRD peak list of ThH4C4O10 for Cu Kα, from a DFT-relaxed cell (GGA-PBE, the Materials Project).
Lines closer than 0.1° are merged.

The 10 most intense peaks (2θ from 10° to 90°), low angle first:
Position (°2θ)	Rel. int.
16.0	100
16.3	31
18.2	10
27.6	17
28.3	21
30.6	16
32.3	14
33.6	14
41.2	9
43.6	11

Atomic structure:
```
38
Lattice="5.423 -4.309 0.000 5.423 4.309 0.000 -0.031 0.000 9.735" Properties=species:S:1:pos:R:3 pbc="T T T"
Th 5.400 2.183 7.301
Th 5.415 -2.183 2.434
H 3.213 1.883 3.073
H 2.401 1.198 7.672
H 2.417 -1.198 2.804
H 7.618 1.883 1.794
H 3.198 -1.883 7.941
H 8.398 1.198 6.931
H 8.414 -1.198 2.064
H 7.602 -1.883 6.662
C 0.640 0.292 9.494
C 0.656 -0.292 4.627
C 4.865 0.395 4.497
C 4.849 -0.395 9.365
C 5.966 0.395 0.370
C 5.950 -0.395 5.238
C 10.160 0.292 5.108
C 10.175 -0.292 0.241
O 4.155 3.184 9.226
O 2.844 1.920 7.175
O 1.082 0.118 3.494
O 1.067 -0.118 8.362
O 4.475 1.473 5.017
O 6.645 3.184 5.377
O 4.428 0.102 8.273
O 6.324 1.473 9.586
O 4.444 -0.102 3.405
O 2.860 -1.920 2.307
O 7.955 1.920 7.428
O 6.371 0.102 6.330
O 4.491 -1.473 0.149
O 6.387 -0.102 1.462
O 4.170 -3.184 4.359
O 6.340 -1.473 4.719
O 9.748 0.118 1.373
O 9.733 -0.118 6.241
O 7.971 -1.920 2.560
O 6.660 -3.184 0.509
```